Computed powder diffractogram of Ag8Sb5As3S16 for Cu Kα (weighted mean of Kα1 and Kα2), from a crystal structure in the Materials Project, relaxed with GGA-PBE.

The 10 most intense peaks (2θ from 10° to 80°), in order of falling intensity:
| d [Å] | 2theta | I/Imax |
| --- | --- | --- |
| 3.247 | 27.5 | 100 |
| 2.801 | 31.9 | 59 |
| 2.987 | 29.9 | 56 |
| 2.683 | 33.4 | 50 |
| 3.265 | 27.3 | 33 |
| 1.770 | 51.6 | 21 |
| 1.690 | 54.3 | 17 |
| 1.941 | 46.8 | 17 |
| 2.047 | 44.3 | 17 |
| 2.040 | 44.4 | 16 |

Cell: 5.974 8.812 13.715 Å, 95.73 90.35 90.09°
Positions (direct):
Ag  0.000  0.000  0.000
Ag  0.000  0.498  0.501
Ag  0.020  0.592  0.134
Ag  0.480  0.547  0.286
Ag  0.497  0.646  0.923
Ag  0.500  0.146  0.423
Ag  0.517  0.047  0.787
Ag  0.979  0.094  0.635
Sb  0.031  0.356  0.854
Sb  0.471  0.786  0.571
Sb  0.521  0.905  0.173
Sb  0.536  0.293  0.063
Sb  0.964  0.854  0.354
As  0.008  0.744  0.757
As  0.490  0.397  0.664
As  0.988  0.244  0.258
S  0.059  0.637  0.905
S  0.087  0.988  0.816
S  0.107  0.885  0.160
S  0.116  0.328  0.041
S  0.372  0.257  0.267
S  0.379  0.812  0.380
S  0.409  0.152  0.605
S  0.438  0.506  0.517
S  0.558  0.013  0.010
S  0.590  0.639  0.105
S  0.614  0.319  0.877
S  0.623  0.757  0.766
S  0.874  0.383  0.656
S  0.883  0.828  0.544
S  0.910  0.488  0.318
S  0.937  0.135  0.405

---

Computed powder diffractogram of LaNi5H7 for Cu Kα (weighted mean of Kα1 and Kα2), from a crystal structure in the Materials Project, relaxed with GGA-PBE.

The 10 most intense peaks (2θ from 10° to 80°), in order of falling intensity:
| d [Å] | 2theta | I/Imax |
| --- | --- | --- |
| 2.270 | 39.7 | 100 |
| 3.148 | 28.3 | 45 |
| 2.316 | 38.9 | 36 |
| 2.674 | 33.5 | 31 |
| 2.146 | 42.1 | 25 |
| 1.453 | 64.1 | 23 |
| 1.574 | 58.6 | 20 |
| 1.337 | 70.4 | 17 |
| 1.621 | 56.8 | 13 |
| 2.038 | 44.5 | 12 |

Cell: 5.348 5.348 8.586 Å, 90.00 90.00 120.00°
Positions (direct):
La  0.000  0.000  0.000
La  0.000  0.000  0.500
Ni  0.000  0.500  0.275
Ni  0.000  0.500  0.775
Ni  0.333  0.667  0.022
Ni  0.333  0.667  0.544
Ni  0.500  0.000  0.275
Ni  0.500  0.000  0.775
Ni  0.500  0.500  0.275
Ni  0.500  0.500  0.775
Ni  0.667  0.333  0.044
Ni  0.667  0.333  0.522
H  0.010  0.505  0.468
H  0.155  0.309  0.745
H  0.155  0.845  0.745
H  0.309  0.155  0.245
H  0.333  0.667  0.210
H  0.495  0.505  0.468
H  0.495  0.990  0.468
H  0.505  0.010  0.968
H  0.505  0.495  0.968
H  0.667  0.333  0.710
H  0.691  0.845  0.745
H  0.845  0.155  0.245
H  0.845  0.691  0.245
H  0.990  0.495  0.968

---

Computed powder diffractogram of KYBeF6 for Cu Kα (weighted mean of Kα1 and Kα2), from a crystal structure in the Materials Project, relaxed with GGA-PBE.

The 10 most intense peaks (2θ from 10° to 80°), in order of falling intensity:
| d [Å] | 2theta | I/Imax |
| --- | --- | --- |
| 3.157 | 28.3 | 100 |
| 3.013 | 29.6 | 68 |
| 4.376 | 20.3 | 60 |
| 5.637 | 15.7 | 52 |
| 2.188 | 41.3 | 44 |
| 3.224 | 27.7 | 33 |
| 1.755 | 52.1 | 30 |
| 4.179 | 21.3 | 28 |
| 2.169 | 41.6 | 25 |
| 1.873 | 48.6 | 25 |

Cell: 6.464 5.866 7.134 Å, 90.00 112.90 90.00°
Positions (direct):
K  0.071  0.250  0.204
K  0.929  0.750  0.796
Y  0.388  0.250  0.819
Y  0.612  0.750  0.181
Be  0.232  0.750  0.464
Be  0.768  0.250  0.536
F  0.014  0.750  0.264
F  0.232  0.535  0.595
F  0.232  0.965  0.595
F  0.320  0.501  0.034
F  0.320  0.999  0.034
F  0.441  0.750  0.409
F  0.559  0.250  0.591
F  0.680  0.001  0.966
F  0.680  0.499  0.966
F  0.768  0.035  0.405
F  0.768  0.465  0.405
F  0.986  0.250  0.736

---

Computed powder diffractogram of BaNaEuSeO6 for Cu Kα (weighted mean of Kα1 and Kα2), from a crystal structure in the Materials Project, relaxed with GGA-PBE.

The 10 most intense peaks (2θ from 10° to 80°), in order of falling intensity:
| d [Å] | 2theta | I/Imax |
| --- | --- | --- |
| 2.921 | 30.6 | 100 |
| 1.687 | 54.4 | 38 |
| 2.066 | 43.8 | 32 |
| 4.771 | 18.6 | 24 |
| 1.461 | 63.7 | 19 |
| 1.307 | 72.3 | 18 |
| 2.491 | 36.0 | 18 |
| 4.132 | 21.5 | 12 |
| 1.896 | 48.0 | 9 |
| 1.590 | 58.0 | 5 |

Cell: 5.843 5.843 5.843 Å, 60.00 60.00 60.00°
Positions (direct):
Ba  0.000  0.000  0.000
Na  0.500  0.500  0.500
Eu  0.250  0.250  0.250
Se  0.750  0.750  0.750
O  0.528  0.528  0.972
O  0.528  0.972  0.528
O  0.528  0.972  0.972
O  0.972  0.528  0.528
O  0.972  0.528  0.972
O  0.972  0.972  0.528